No. 1
The following is a calculated X-ray powder pattern of ThS2Br4. It was derived from the GGA-PBE geometry in Alexandria, using CuKα.
No peak broadening, texture or thermal motion is included.

Lattice parameters (Å, degrees): 3.7224 8.6681 8.7970 90.64 90.22 102.29
Space group P-1 (No. 2)
Unique sites:
Th  0.0000  0.0000  0.0000 [1 per cell]
S  0.1910  0.4389  0.4836 [2 per cell]
Br  0.3629  0.7260  0.9425 [2 per cell]
Br  0.4749  0.9435  0.2633 [2 per cell]

Most intense lines, 2θ from 10° to 80°, low angle first:
| index | d/Å | 2θ/deg | I/Imax |
| --- | --- | --- | --- |
| 0 0 1 | 8.796 | 10.06 | 100 |
| 0 1 0 | 8.469 | 10.45 | 89 |
| 0 1 -1 | 6.138 | 14.43 | 36 |
| 0 1 1 | 6.064 | 14.61 | 33 |
| 1 1 -1 | 2.942 | 30.39 | 20 |
| 1 -2 1 | 2.928 | 30.53 | 49 |
| 0 1 -3 | 2.781 | 32.18 | 22 |
| -1 2 2 | 2.530 | 35.48 | 31 |



No. 2
The following is a calculated X-ray powder pattern of SrLi2MnH6. It was derived from the GGA-PBE geometry in Alexandria, using CuKα.
No peak broadening, texture or thermal motion is included.

Lattice parameters (Å, degrees): 5.0078 5.0583 8.6507 90.00 125.33 90.00
Space group P2_1/c (No. 14)
Unique sites:
Sr  0.0000  0.0000  0.0000 [2 per cell]
Li  0.2719  0.0634  0.7716 [4 per cell]
Mn  0.5000  0.0000  0.5000 [2 per cell]
H  0.1209  0.1033  0.3411 [4 per cell]
H  0.4339  0.6059  0.1565 [4 per cell]
H  0.4504  0.6884  0.4474 [4 per cell]

Most intense lines, 2θ from 10° to 80°, low angle first:
| index | d/Å | 2θ/deg | I/Imax |
| --- | --- | --- | --- |
| 1 1 -1 | 3.559 | 25.02 | 81 |
| 0 0 2 | 3.529 | 25.24 | 40 |
| 0 2 0 | 2.529 | 35.49 | 20 |
| 1 1 1 | 2.505 | 35.84 | 100 |
| 0 2 2 | 2.056 | 44.05 | 17 |
| 2 0 0 | 2.042 | 44.36 | 18 |
| 2 2 0 | 1.589 | 58.05 | 15 |
| 3 1 -1 | 1.446 | 64.42 | 20 |



No. 3
The following is a calculated X-ray powder pattern of Nd2In2Ga. It was derived from the GGA-PBE geometry in Alexandria, using CuKα.
No peak broadening, texture or thermal motion is included.

Lattice parameters (Å, degrees): 11.6420 4.5608 11.3358 90.00 115.41 90.00
Space group C2/m (No. 12)
Unique sites:
Nd  0.0101  0.0000  0.1743 [4 per cell]
Nd  0.1836  0.0000  0.6134 [4 per cell]
In  0.0412  0.5000  0.3922 [4 per cell]
In  0.1598  0.5000  0.0570 [4 per cell]
Ga  0.1998  0.5000  0.8198 [4 per cell]

Most intense lines, 2θ from 10° to 80°, low angle first:
| index | d/Å | 2θ/deg | I/Imax |
| --- | --- | --- | --- |
| 1 1 2 | 2.999 | 29.80 | 38 |
| 3 1 -1 | 2.948 | 30.32 | 47 |
| 1 1 -3 | 2.898 | 30.85 | 100 |
| 3 1 -3 | 2.639 | 33.97 | 28 |
| 3 1 1 | 2.478 | 36.26 | 46 |
| 4 0 -4 | 2.427 | 37.04 | 22 |
| 0 2 0 | 2.280 | 39.52 | 38 |
| 7 1 -3 | 1.562 | 59.13 | 19 |



No. 4
The following is a calculated X-ray powder pattern of LiTm4Cd. It was derived from the GGA-PBE geometry in Alexandria, using CuKα.
No peak broadening, texture or thermal motion is included.

Lattice parameters (Å, degrees): 5.0273 5.0273 7.2032 90.00 90.00 90.00
Space group P4/mmm (No. 123)
Unique sites:
Li  0.0000  0.0000  0.0000 [1 per cell]
Tm  0.0000  0.5000  0.2517 [4 per cell]
Cd  0.5000  0.5000  0.5000 [1 per cell]

Most intense lines, 2θ from 10° to 80°, low angle first:
| index | d/Å | 2θ/deg | I/Imax |
| --- | --- | --- | --- |
| 0 0 2 | 3.602 | 24.72 | 31 |
| 1 1 0 | 3.555 | 25.05 | 59 |
| 1 1 2 | 2.530 | 35.48 | 100 |
| 2 0 0 | 2.514 | 35.72 | 49 |
| 2 0 2 | 2.061 | 43.93 | 27 |
| 2 2 0 | 1.777 | 51.41 | 17 |
| 2 0 4 | 1.464 | 63.55 | 18 |
| 3 1 2 | 1.454 | 64.02 | 36 |



No. 5
The following is a calculated X-ray powder pattern of KHgBr3O. It was derived from the GGA-PBE geometry in Alexandria, using CuKα.
No peak broadening, texture or thermal motion is included.

Lattice parameters (Å, degrees): 4.0868 17.7293 9.6741 90.00 90.00 90.00
Space group Cmc2_1 (No. 36)
Unique sites:
K  0.0000  0.2105  0.0000 [4 per cell]
Hg  0.0000  0.4907  0.1841 [4 per cell]
Br  0.0000  0.0171  0.9950 [4 per cell]
Br  0.0000  0.3484  0.2426 [4 per cell]
Br  0.0000  0.3622  0.7790 [4 per cell]
O  0.0000  0.1667  0.2633 [4 per cell]

Most intense lines, 2θ from 10° to 80°, low angle first:
| index | d/Å | 2θ/deg | I/Imax |
| --- | --- | --- | --- |
| 0 0 2 | 4.837 | 18.34 | 31 |
| 0 2 2 | 4.246 | 20.92 | 21 |
| 1 1 0 | 3.982 | 22.32 | 31 |
| 0 4 2 | 3.268 | 27.29 | 19 |
| 1 1 2 | 3.074 | 29.04 | 100 |
| 0 6 0 | 2.955 | 30.25 | 27 |
| 1 5 2 | 2.343 | 38.42 | 27 |
| 1 7 2 | 1.965 | 46.19 | 42 |



No. 6
The following is a calculated X-ray powder pattern of Er3Zn2Au3. It was derived from the GGA-PBE geometry in Alexandria, using CuKα.
No peak broadening, texture or thermal motion is included.

Lattice parameters (Å, degrees): 8.4714 8.4714 5.5857 90.00 90.00 120.00
Space group P6_3/mcm (No. 193)
Unique sites:
Er  0.0000  0.2725  0.2500 [6 per cell]
Zn  0.3333  0.6667  0.0000 [4 per cell]
Au  0.0000  0.3862  0.7500 [6 per cell]

Most intense lines, 2θ from 10° to 80°, low angle first:
| index | d/Å | 2θ/deg | I/Imax |
| --- | --- | --- | --- |
| 1 1 0 | 4.236 | 20.97 | 43 |
| 0 0 2 | 2.793 | 32.05 | 41 |
| 2 1 1 | 2.484 | 36.17 | 100 |
| 3 0 0 | 2.445 | 36.75 | 70 |
| 1 1 2 | 2.332 | 38.61 | 64 |
| 3 1 1 | 1.912 | 47.56 | 34 |
| 3 0 2 | 1.840 | 49.54 | 27 |
| 2 1 3 | 1.546 | 59.83 | 24 |